This entry pairs a crystal structure of Ac2Sn8Ir with its calculated powder diffractogram. Radiation: CuKα. Structure: a crystal structure in Alexandria, relaxed with PBE.

Most intense lines, 2θ = 5–70°, sorted by position:
| two_theta | I/Imax | index |
| --- | --- | --- |
| 18.30 | 18 | 1 0 0 |
| 27.79 | 13 | 1 0 3 |
| 29.54 | 31 | 1 1 2 |
| 33.48 | 100 | 1 1 3 |
| 34.92 | 17 | 0 0 5 |
| 37.09 | 56 | 2 0 0 |
| 51.85 | 22 | 2 0 5 |
| 53.46 | 21 | 2 2 0 |
| 64.02 | 12 | 1 1 8 |
| 64.57 | 31 | 3 1 3 |

a b c (Å): 4.8478 4.8478 12.8487
angles (deg): 90.00 90.00 90.00
Space group P4/mmm (No. 123)
Inequivalent atoms, fractional coordinates:
Ac (0.0000, 0.0000, 0.1916) (multiplicity 2)
Sn (0.0000, 0.5000, 0.0000) (multiplicity 2)
Sn (0.0000, 0.5000, 0.3828) (multiplicity 4)
Sn (0.5000, 0.5000, 0.1986) (multiplicity 2)
Ir (0.0000, 0.0000, 0.5000) (multiplicity 1)

This entry pairs a crystal structure of Zn3SiNi3 with its calculated powder diffractogram. Radiation: CuKα. Structure: a crystal structure in Alexandria, relaxed with PBE.

Most intense lines, 2θ = 5–70°, sorted by position:
| two_theta | I/Imax | index |
| --- | --- | --- |
| 22.39 | 38 | 1 1 0 |
| 31.49 | 3 | 0 2 1 |
| 38.03 | 10 | 0 1 2 |
| 39.29 | 9 | 3 0 0 |
| 44.57 | 100 | 2 0 2 |
| 45.69 | 93 | 2 2 0 |
| 50.43 | 8 | 1 2 2 |
| 60.91 | 4 | 3 1 2 |
| 61.81 | 4 | 4 1 0 |
| 65.74 | 29 | 0 4 2 |

a b c (Å): 7.9426 7.9426 5.0400
angles (deg): 90.00 90.00 120.00
Space group R-3m (No. 166, hexagonal axes)
Inequivalent atoms, fractional coordinates:
Zn (0.0000, 0.5000, 0.0000) (multiplicity 9)
Si (0.0000, 0.0000, 0.0000) (multiplicity 3)
Ni (0.0000, 0.5000, 0.5000) (multiplicity 9)